1.
Starting from a PBE-relaxed structure, the powder diffraction line list of HfBe17Cr was simulated for Cu Kα (λ = 1.5418 Å).

Peak list (12 most intense, 2θ from 15° to 90°, sorted by position)
| Position (°2θ) | I_rel |
| --- | --- |
| 16.2 | 100 |
| 21.6 | 51 |
| 24.2 | 80 |
| 24.9 | 25 |
| 29.2 | 29 |
| 32.6 | 20 |
| 34.9 | 76 |
| 38.2 | 28 |
| 41.0 | 23 |
| 42.5 | 28 |
| 49.5 | 21 |
| 49.9 | 40 |

Atomic structure:
Cell: 5.5604 5.5604 5.5604 Å, 83.02 83.02 83.02°
Element x y z (fractional)
Hf 0.0000 0.0000 0.0000
Be 0.0104 0.0104 0.4962
Be 0.0104 0.4962 0.0104
Be 0.1573 0.6651 0.6651
Be 0.3164 0.3164 0.8112
Be 0.3164 0.8112 0.3164
Be 0.3681 0.6560 0.9587
Be 0.3681 0.9587 0.6560
Be 0.4962 0.0104 0.0104
Be 0.5590 0.5590 0.5590
Be 0.6560 0.3681 0.9587
Be 0.6560 0.9587 0.3681
Be 0.6651 0.1573 0.6651
Be 0.6651 0.6651 0.1573
Be 0.7565 0.7565 0.7565
Be 0.8112 0.3164 0.3164
Be 0.9587 0.3681 0.6560
Be 0.9587 0.6560 0.3681
Cr 0.3256 0.3256 0.3256

---

2.
Starting from a PBE-relaxed structure, the powder diffraction line list of BeCrHg2 was simulated for Cu Kα (λ = 1.5418 Å).

Peak list (12 most intense, 2θ from 15° to 90°, sorted by position)
| Position (°2θ) | I_rel |
| --- | --- |
| 21.6 | 44 |
| 21.7 | 42 |
| 29.7 | 96 |
| 33.9 | 59 |
| 34.1 | 59 |
| 37.0 | 41 |
| 39.3 | 100 |
| 39.4 | 99 |
| 39.8 | 62 |
| 50.4 | 46 |
| 55.4 | 38 |
| 71.1 | 22 |

Atomic structure:
Cell: 10.7105 3.1607 4.5350 Å, 90.00 114.70 90.00°
Element x y z (fractional)
Be 0.0000 0.0000 0.0000
Be 0.5000 0.5000 0.0000
Cr 0.3008 0.0000 0.8042
Cr 0.8008 0.5000 0.8042
Hg 0.0051 0.5000 0.5080
Hg 0.2161 0.5000 0.2202
Hg 0.5051 0.0000 0.5080
Hg 0.7161 0.0000 0.2202

---

3.
Starting from a PBE-relaxed structure, the powder diffraction line list of BeCrHg2 was simulated for Cu Kα (λ = 1.5418 Å).

Peak list (12 most intense, 2θ from 15° to 90°, sorted by position)
| Position (°2θ) | I_rel |
| --- | --- |
| 29.7 | 19 |
| 30.0 | 87 |
| 35.3 | 54 |
| 35.4 | 53 |
| 38.1 | 71 |
| 40.3 | 35 |
| 40.5 | 100 |
| 52.9 | 17 |
| 63.5 | 16 |
| 63.7 | 17 |
| 67.4 | 33 |
| 68.6 | 17 |

Atomic structure:
Cell: 3.0833 3.3186 6.8883 Å, 90.00 102.75 90.00°
Element x y z (fractional)
Be 0.0000 0.0000 0.0000
Cr 0.5609 0.5000 0.1230
Hg 0.1954 0.0000 0.3960
Hg 0.8660 0.5000 0.7238

---

4.
Starting from a PBE-relaxed structure, the powder diffraction line list of LaBeCr2 was simulated for Cu Kα (λ = 1.5418 Å).

Peak list (12 most intense, 2θ from 15° to 90°, sorted by position)
| Position (°2θ) | I_rel |
| --- | --- |
| 27.3 | 13 |
| 31.4 | 100 |
| 39.6 | 38 |
| 40.3 | 40 |
| 41.4 | 16 |
| 49.4 | 10 |
| 58.4 | 13 |
| 59.2 | 21 |
| 64.1 | 17 |
| 67.8 | 20 |
| 72.9 | 12 |
| 74.1 | 10 |

Atomic structure:
Cell: 3.1616 3.1616 6.5452 Å, 90.00 90.00 90.00°
Element x y z (fractional)
La 0.0000 0.0000 0.0000
Be 0.0000 0.0000 0.5000
Cr 0.5000 0.5000 0.3561
Cr 0.5000 0.5000 0.6439

---

5.
Starting from a PBE-relaxed structure, the powder diffraction line list of LiBeCr2Sb was simulated for Cu Kα (λ = 1.5418 Å).

Peak list (12 most intense, 2θ from 15° to 90°, sorted by position)
| Position (°2θ) | I_rel |
| --- | --- |
| 20.9 | 49 |
| 30.2 | 50 |
| 37.0 | 100 |
| 42.5 | 37 |
| 43.9 | 17 |
| 47.8 | 11 |
| 53.0 | 20 |
| 61.7 | 11 |
| 62.8 | 22 |
| 74.2 | 23 |
| 76.1 | 11 |
| 78.8 | 11 |

Atomic structure:
Cell: 4.2517 4.2517 4.1262 Å, 90.00 90.00 90.00°
Element x y z (fractional)
Li 0.0000 0.0000 0.0000
Be 0.0000 0.0000 0.5000
Cr 0.0000 0.5000 0.5000
Cr 0.5000 0.0000 0.5000
Sb 0.5000 0.5000 0.0000

---

6.
Starting from a PBE-relaxed structure, the powder diffraction line list of MgBeCr was simulated for Cu Kα (λ = 1.5418 Å).

Peak list (12 most intense, 2θ from 15° to 90°, sorted by position)
| Position (°2θ) | I_rel |
| --- | --- |
| 28.4 | 70 |
| 32.3 | 84 |
| 35.8 | 91 |
| 35.9 | 89 |
| 39.1 | 42 |
| 40.6 | 91 |
| 43.5 | 100 |
| 43.6 | 38 |
| 56.5 | 27 |
| 57.6 | 34 |
| 58.8 | 30 |
| 69.8 | 43 |

Atomic structure:
Cell: 16.6255 3.1985 3.1423 Å, 90.00 90.24 90.00°
Element x y z (fractional)
Mg 0.1835 0.0000 0.2505
Mg 0.3165 0.5000 0.7495
Mg 0.6835 0.5000 0.2505
Mg 0.8165 0.0000 0.7495
Be 0.0398 0.0000 0.2481
Be 0.4602 0.5000 0.7519
Be 0.5398 0.5000 0.2481
Be 0.9602 0.0000 0.7519
Cr 0.0600 0.5000 0.7463
Cr 0.4400 0.0000 0.2537
Cr 0.5600 0.0000 0.7463
Cr 0.9400 0.5000 0.2537